# 1
YMgCo2Ni2: calculated XRD peak list (a wavelength of 1.5418 Å), based on a cell relaxed with GGA-PBE.

Crystal structure
abc: 4.8695 4.9441 7.0023
angles: 90.00 90.00 90.00
Sites, in units of the cell vectors:
Y  0.0000  0.0000  0.0000
Y  0.5000  0.5000  0.5000
Mg  0.0000  0.5000  0.7526
Mg  0.5000  0.0000  0.2526
Co  0.2501  0.0000  0.6251
Co  0.2499  0.5000  0.1251
Co  0.7499  0.0000  0.6251
Co  0.7501  0.5000  0.1251
Ni  0.0000  0.2476  0.3769
Ni  0.0000  0.7524  0.3769
Ni  0.5000  0.2524  0.8769
Ni  0.5000  0.7476  0.8769

Most intense lines, 10° ≤ 2θ ≤ 80°, by angle:
22.01 deg, I 16; 22.24 deg, I 18; 36.46 deg, I 31; 42.84 deg, I 32; 43.00 deg, I 100; 43.40 deg, I 61; 44.89 deg, I 42; 45.37 deg, I 42; 69.85 deg, I 21; 70.27 deg, I 13; 70.71 deg, I 21; 77.46 deg, I 30

# 2
MgCo6P4: calculated XRD peak list (a wavelength of 1.5418 Å), based on a cell relaxed with GGA-PBE.

Crystal structure
abc: 6.5713 6.5713 3.3588
angles: 90.00 90.00 120.00
Sites, in units of the cell vectors:
Mg  0.0000  0.0000  0.0000
Co  0.0699  0.5349  0.0000
Co  0.3975  0.1987  0.5000
Co  0.4651  0.5349  0.0000
Co  0.4651  0.9301  0.0000
Co  0.8013  0.1987  0.5000
Co  0.8013  0.6026  0.5000
P  0.1872  0.3745  0.5000
P  0.1872  0.8128  0.5000
P  0.6255  0.8128  0.5000
P  0.6667  0.3333  0.0000

Most intense lines, 10° ≤ 2θ ≤ 80°, by angle:
15.57 deg, I 31; 30.91 deg, I 19; 38.32 deg, I 10; 41.60 deg, I 100; 42.00 deg, I 23; 47.96 deg, I 25; 50.38 deg, I 57; 54.65 deg, I 21; 55.97 deg, I 24; 71.24 deg, I 9; 75.63 deg, I 11; 78.62 deg, I 10